Structure and computed powder diffraction line list of CeCrC3 (DFT lattice parameters and positions (PBE); CuKα).

Principal peaks in the range 2θ = 10–80°, in order of falling intensity:
Position (°2θ)	d (Å)	I/Imax	(hkl)
32.9	2.726	100.0	1 1 1
33.0	2.710	51.1	2 0 0
58.9	1.568	38.1	3 1 1
47.4	1.917	25.0	2 2 0
40.6	2.222	21.9	2 0 1
23.2	3.833	19.5	1 1 0
58.5	1.577	19.3	2 0 2
68.9	1.363	15.3	2 2 2
46.9	1.939	13.4	0 0 2
22.9	3.878	9.7	0 0 1

Atomic structure:
abc: 5.4207 5.4207 3.8779
angles: 90.00 90.00 90.00
Sites, in units of the cell vectors:
Ce (0.0000, 0.5000, 0.0000)
Ce (0.5000, 0.0000, 0.0000)
Cr (0.0000, 0.0000, 0.5000)
Cr (0.5000, 0.5000, 0.5000)
C (0.0000, 0.0000, 0.0000)
C (0.2137, 0.2863, 0.5000)
C (0.2863, 0.7863, 0.5000)
C (0.5000, 0.5000, 0.0000)
C (0.7137, 0.2137, 0.5000)
C (0.7863, 0.7137, 0.5000)